For La2NdCu2Si4Ni2, a crystal structure in OQMD, relaxed with GGA-PBE gives the simulated X-ray powder pattern in this record (λ = 1.5418 Å (Cu Kα)).
Intensities are scaled so that the largest is 100.

Cell and atoms:
a = 12.248 Å, b = 12.248 Å, c = 12.248 Å
α = 160.56°, β = 160.37°, γ = 27.77°
Element x y z (fractional)
1 La 0.152 0.152 0.000
2 La 0.848 0.848 0.000
3 Nd 0.000 0.500 0.500
4 Cu 0.401 0.401 0.000
5 Cu 0.599 0.599 0.000
6 Si 0.298 0.298 0.000
7 Si 0.450 0.950 0.500
8 Si 0.550 0.050 0.500
9 Si 0.702 0.702 0.000
10 Ni 0.249 0.749 0.500
11 Ni 0.751 0.251 0.500

Principal peaks in the range 2θ from 15° to 90°, by angle:
d/Å, intensity
3.667, 19
3.138, 10
2.635, 100
2.227, 17
2.088, 20
2.068, 16
1.675, 8
1.627, 13
1.523, 10
1.469, 11
1.326, 11
1.288, 10